1.
Starting from a structure optimized by DFT (PBE), the X-ray diffraction stick pattern of CsTmCrCl6 was computed for a wavelength of 1.5418 Å.
No peak broadening, texture or thermal motion is included.

Main lines, by angle (2θ from 10° to 90°):
| hkl | 2θ (°) | Rel. int. |
| --- | --- | --- |
| 0 0 1 | 11.27 | 65 |
| 1 1 -1 | 18.32 | 100 |
| 1 1 1 | 19.20 | 86 |
| 0 2 1 | 19.34 | 88 |
| 2 0 -2 | 33.44 | 44 |
| 1 3 2 | 35.93 | 70 |

Cell and atoms:
abc: 6.9677 11.3158 7.8609
angles: 90.00 93.26 90.00
Space group C2 (No. 5)
Symmetry-distinct sites (fractional):
Cs (0.0000, 0.0000, 0.0000) (multiplicity 2)
Tm (0.0000, 0.3426, 0.5000) (multiplicity 2)
Cr (0.0000, 0.6824, 0.5000) (multiplicity 2)
Cl (0.1208, 0.5287, 0.6855) (multiplicity 4)
Cl (0.1775, 0.2091, 0.7174) (multiplicity 4)
Cl (0.1792, 0.8294, 0.6660) (multiplicity 4)



2.
Starting from a structure optimized by DFT (PBE), the X-ray diffraction stick pattern of CsV2CrCl8 was computed for a wavelength of 1.5418 Å.
No peak broadening, texture or thermal motion is included.

Main lines, by angle (2θ from 10° to 90°):
| hkl | 2θ (°) | Rel. int. |
| --- | --- | --- |
| 1 0 4 | 19.93 | 100 |
| 1 1 0 | 27.32 | 36 |
| 1 1 3 | 28.88 | 57 |
| 2 -1 6 | 33.14 | 44 |
| 1 1 12 | 46.85 | 34 |
| 3 0 0 | 48.29 | 34 |

Cell and atoms:
abc: 6.5287 6.5287 28.9290
angles: 90.00 90.00 120.00
Space group R-3 (No. 148, hexagonal axes)
Symmetry-distinct sites (fractional):
Cs (0.0000, 0.0000, 0.0000) (multiplicity 3)
V (0.0000, 0.0000, 0.2387) (multiplicity 6)
Cr (0.0000, 0.0000, 0.5000) (multiplicity 3)
Cl (0.0000, 0.0000, 0.3167) (multiplicity 6)
Cl (0.0061, 0.6880, 0.4487) (multiplicity 18)



3.
Starting from a structure optimized by DFT (PBE), the X-ray diffraction stick pattern of CsZn2CrCl8 was computed for a wavelength of 1.5418 Å.
No peak broadening, texture or thermal motion is included.

Main lines, by angle (2θ from 10° to 90°):
| hkl | 2θ (°) | Rel. int. |
| --- | --- | --- |
| 1 0 4 | 19.95 | 100 |
| 0 0 9 | 25.44 | 22 |
| 1 1 0 | 28.66 | 32 |
| 1 1 3 | 29.92 | 29 |
| 0 2 4 | 35.17 | 23 |
| 3 0 0 | 50.77 | 24 |

Cell and atoms:
abc: 6.2292 6.2292 31.5085
angles: 90.00 90.00 120.00
Space group R-3 (No. 148, hexagonal axes)
Symmetry-distinct sites (fractional):
Cs (0.0000, 0.0000, 0.0000) (multiplicity 3)
Zn (0.0000, 0.0000, 0.2323) (multiplicity 6)
Cr (0.0000, 0.0000, 0.5000) (multiplicity 3)
Cl (0.0000, 0.0000, 0.3032) (multiplicity 6)
Cl (0.0140, 0.3150, 0.5440) (multiplicity 18)